1.
This entry pairs a crystal structure of BaYI5 with its computed PXRD pattern. Radiation: a wavelength of 1.5418 Å. Structure: a cell relaxed with PBE.

Peak list (8 most intense, 2θ = 5–70°, low angle first)
d (Å), 2θ/deg, Rel. int.
5.619, 15.77, 28
3.706, 24.01, 30
3.525, 25.27, 100
3.254, 27.41, 59
3.155, 28.29, 65
2.961, 30.18, 44
2.680, 33.44, 36
2.279, 39.54, 36

Crystal structure
a = 8.058 Å, b = 8.615 Å, c = 18.914 Å
α = 90.00°, β = 90.00°, γ = 90.00°
Sites, in units of the cell vectors:
Ba 0.233 0.207 0.334
Ba 0.267 0.793 0.834
Ba 0.733 0.293 0.666
Ba 0.767 0.707 0.166
Y 0.172 0.873 0.585
Y 0.328 0.127 0.085
Y 0.672 0.627 0.415
Y 0.828 0.373 0.915
I 0.019 0.142 0.506
I 0.042 0.106 0.977
I 0.099 0.405 0.807
I 0.143 0.912 0.185
I 0.156 0.385 0.160
I 0.344 0.615 0.660
I 0.357 0.088 0.685
I 0.401 0.595 0.307
I 0.458 0.894 0.477
I 0.481 0.858 0.006
I 0.519 0.358 0.494
I 0.542 0.394 0.023
I 0.599 0.095 0.193
I 0.643 0.588 0.815
I 0.656 0.115 0.840
I 0.844 0.885 0.340
I 0.857 0.412 0.315
I 0.901 0.905 0.693
I 0.958 0.606 0.523
I 0.981 0.642 0.994

2.
This entry pairs a crystal structure of Ba2YI7 with its computed PXRD pattern. Radiation: a wavelength of 1.5418 Å. Structure: a cell relaxed with PBE.

Peak list (8 most intense, 2θ = 5–70°, low angle first)
d (Å), 2θ/deg, Rel. int.
3.478, 25.61, 31
3.424, 26.02, 62
3.376, 26.40, 46
3.328, 26.79, 51
3.225, 27.66, 100
3.070, 29.09, 36
2.794, 32.04, 25
2.509, 35.79, 26

Crystal structure
a = 13.083 Å, b = 13.083 Å, c = 13.590 Å
α = 116.07°, β = 116.07°, γ = 67.78°
Sites, in units of the cell vectors:
Ba 0.104 0.743 0.953
Ba 0.257 0.896 0.547
Ba 0.321 0.441 0.522
Ba 0.441 0.321 0.022
Ba 0.559 0.679 0.978
Ba 0.679 0.559 0.478
Ba 0.743 0.104 0.453
Ba 0.896 0.257 0.047
Y 0.013 0.331 0.672
Y 0.331 0.013 0.172
Y 0.669 0.987 0.828
Y 0.987 0.669 0.328
I 0.035 0.424 0.339
I 0.037 0.093 0.678
I 0.093 0.037 0.178
I 0.128 0.727 0.585
I 0.132 0.448 0.931
I 0.222 0.226 0.098
I 0.226 0.222 0.598
I 0.226 0.620 0.306
I 0.273 0.872 0.915
I 0.351 0.517 0.837
I 0.380 0.774 0.194
I 0.424 0.035 0.839
I 0.448 0.132 0.431
I 0.483 0.649 0.663
I 0.517 0.351 0.337
I 0.552 0.868 0.569
I 0.576 0.965 0.161
I 0.620 0.226 0.806
I 0.649 0.483 0.163
I 0.727 0.128 0.085
I 0.774 0.380 0.694
I 0.774 0.778 0.402
I 0.778 0.774 0.902
I 0.868 0.552 0.069
I 0.872 0.273 0.415
I 0.907 0.963 0.822
I 0.963 0.907 0.322
I 0.965 0.576 0.661